Calculated powder XRD pattern of Zr4Ge2H for Cu Kα X-rays, from a GGA-PBE-relaxed structure.
Lines closer than 0.1° are merged.

Largest 12 diffraction maxima, in order of rising 2θ, 10 to 80 degrees two-theta:
- 31.37°, d 2.852, I 13, (1 1 0)
- 33.52°, d 2.673, I 100, (1 1 2)
- 35.08°, d 2.558, I 36, (0 0 6)
- 36.80°, d 2.443, I 32, (1 0 5)
- 39.37°, d 2.289, I 78, (1 1 4)
- 44.96°, d 2.016, I 56, (2 0 0)
- 58.26°, d 1.584, I 32, (2 0 6)
- 59.44°, d 1.555, I 15, (2 1 5)
- 65.46°, d 1.426, I 17, (2 2 0)
- 75.58°, d 1.258, I 18, (3 1 2)
- 76.49°, d 1.245, I 14, (2 2 6)
- 79.14°, d 1.210, I 19, (3 1 4)

Atomic structure:
```
data_Zr4Ge2H
_cell_length_a 4.0328
_cell_length_b 4.0328
_cell_length_c 15.3482
_cell_angle_alpha 90.00
_cell_angle_beta 90.00
_cell_angle_gamma 90.00
_space_group_name_H-M_alt 'I 4/m m m'
_space_group_IT_number 139
_space_group_name_Hall '-I 4 2'
loop_
_atom_site_label
_atom_site_fract_x
_atom_site_fract_y
_atom_site_fract_z
_atom_site_occupancy
Zr1 0.0000 0.0000 0.1802 1
Zr2 0.0000 0.5000 0.0000 1
Ge1 0.0000 0.0000 0.3625 1
H1 0.0000 0.0000 0.0000 1
```

Calculated powder XRD pattern of ZnNiRh for Cu Kα X-rays, from a GGA-PBE-relaxed structure.
Lines closer than 0.1° are merged.

Largest 12 diffraction maxima, in order of rising 2θ, 10 to 80 degrees two-theta:
- 17.56°, d 5.051, I 6, (0 0 1)
- 29.93°, d 2.986, I 7, (1 1 -1)
- 33.04°, d 2.711, I 3, (2 0 1)
- 41.68°, d 2.167, I 100, (1 1 -2)
- 42.03°, d 2.150, I 98, (3 1 0)
- 47.80°, d 1.903, I 33, (4 0 -2)
- 48.79°, d 1.866, I 31, (2 0 2)
- 49.56°, d 1.839, I 30, (0 2 0)
- 70.21°, d 1.341, I 10, (2 0 -4)
- 71.20°, d 1.324, I 10, (6 0 0)
- 71.32°, d 1.322, I 19, (4 2 -2)
- 72.10°, d 1.310, I 18, (2 2 2)

Atomic structure:
```
data_ZnNiRh
_cell_length_a 8.4373
_cell_length_b 3.6784
_cell_length_c 5.3635
_cell_angle_alpha 90.00
_cell_angle_beta 109.64
_cell_angle_gamma 90.00
_space_group_name_H-M_alt 'C 1 2/m 1'
_space_group_IT_number 12
_space_group_name_Hall '-C 2y'
loop_
_atom_site_label
_atom_site_fract_x
_atom_site_fract_y
_atom_site_fract_z
_atom_site_occupancy
Zn1 0.0033 0.0000 0.2618 1
Ni1 0.1672 0.5000 0.5812 1
Rh1 0.1674 0.5000 0.0900 1
```

Calculated powder XRD pattern of Ag4Hg2F9 for Cu Kα X-rays, from a GGA-PBE-relaxed structure.
Lines closer than 0.1° are merged.

Largest 12 diffraction maxima, in order of rising 2θ, 10 to 80 degrees two-theta:
- 20.10°, d 4.418, I 24, (1 1 -2)
- 28.13°, d 3.172, I 57, (2 0 -4)
- 28.31°, d 3.153, I 100, (1 1 4)
- 29.01°, d 3.078, I 53, (0 2 0)
- 29.54°, d 3.024, I 98, (3 1 0)
- 40.85°, d 2.209, I 42, (2 2 -4)
- 41.88°, d 2.157, I 22, (4 0 4)
- 45.34°, d 2.000, I 43, (3 1 -6)
- 46.05°, d 1.971, I 18, (3 1 6)
- 50.99°, d 1.791, I 22, (1 3 4)
- 51.44°, d 1.776, I 18, (5 1 -4)
- 51.75°, d 1.766, I 54, (3 3 0)

Atomic structure:
```
data_Ag4Hg2F9
_cell_length_a 10.4167
_cell_length_b 6.1559
_cell_length_c 15.7925
_cell_angle_alpha 90.00
_cell_angle_beta 90.96
_cell_angle_gamma 90.00
_space_group_name_H-M_alt 'C 1 2/c 1'
_space_group_IT_number 15
_space_group_name_Hall '-C 2yc'
loop_
_atom_site_label
_atom_site_fract_x
_atom_site_fract_y
_atom_site_fract_z
_atom_site_occupancy
Ag1 0.1614 0.0109 0.1903 1
Ag2 0.1627 0.0019 0.4829 1
Hg1 0.0062 0.4924 0.8581 1
F1 0.0000 0.2052 0.7500 1
F2 0.0017 0.1453 0.3996 1
F3 0.1424 0.3090 0.5709 1
F4 0.1483 0.3799 0.2532 1
F5 0.1941 0.3346 0.9170 1
```

Calculated powder XRD pattern of NbMo4W4 for Cu Kα X-rays, from a GGA-PBE-relaxed structure.
Lines closer than 0.1° are merged.

Largest 12 diffraction maxima, in order of rising 2θ, 10 to 80 degrees two-theta:
- 15.65°, d 5.661, I 11, (1 1 0)
- 31.47°, d 2.843, I 6, (1 2 1)
- 35.46°, d 2.532, I 3, (3 1 0)
- 38.51°, d 2.338, I 27, (0 0 2)
- 38.86°, d 2.318, I 100, (3 0 1)
- 45.21°, d 2.006, I 3, (2 3 1)
- 48.23°, d 1.887, I 26, (3 3 0)
- 50.95°, d 1.792, I 5, (1 4 1)
- 63.34°, d 1.468, I 23, (3 3 2)
- 69.89°, d 1.346, I 18, (3 0 3)
- 70.59°, d 1.334, I 8, (6 0 0)
- 74.99°, d 1.266, I 3, (2 6 0)

Atomic structure:
```
data_NbMo4W4
_cell_length_a 8.0057
_cell_length_b 8.0057
_cell_length_c 4.6758
_cell_angle_alpha 90.00
_cell_angle_beta 90.00
_cell_angle_gamma 90.00
_space_group_name_H-M_alt 'I 4/m'
_space_group_IT_number 87
_space_group_name_Hall '-I 4'
loop_
_atom_site_label
_atom_site_fract_x
_atom_site_fract_y
_atom_site_fract_z
_atom_site_occupancy
Nb1 0.0000 0.0000 0.0000 1
Mo1 0.1549 0.8196 0.5000 1
W1 0.0128 0.6619 0.0000 1
```